Starting from a crystal structure in the Materials Project, relaxed with PBE+U, the powder diffractogram of LiCoP2O7 was computed for Cu Kα X-rays.

Structure:
Cell: 14.5880 5.0527 8.7788 Å, 90.00 102.66 90.00°
Space group Pc (No. 7)
One atom of each set of equivalent atoms:
Li (0.0000, 0.1696, 0.0000) (multiplicity 2)
Li (0.4996, 0.3177, 0.0036) (multiplicity 2)
Co (0.2992, 0.4816, 0.8476) (multiplicity 2)
Co (0.7952, 0.0182, 0.8462) (multiplicity 2)
P (0.2008, 0.1619, 0.5475) (multiplicity 2)
P (0.3974, 0.1540, 0.6312) (multiplicity 2)
P (0.6999, 0.3641, 0.5481) (multiplicity 2)
P (0.9000, 0.3560, 0.6315) (multiplicity 2)
O (0.1202, 0.0226, 0.0224) (multiplicity 2)
O (0.2043, 0.3250, 0.3980) (multiplicity 2)
O (0.2077, 0.3491, 0.6897) (multiplicity 2)
O (0.2993, 0.0095, 0.0832) (multiplicity 2)
O (0.3926, 0.3827, 0.5081) (multiplicity 2)
O (0.3972, 0.2865, 0.7931) (multiplicity 2)
O (0.4765, 0.0323, 0.1368) (multiplicity 2)
O (0.6220, 0.4427, 0.0239) (multiplicity 2)
O (0.7042, 0.1918, 0.4034) (multiplicity 2)
O (0.7074, 0.1790, 0.6917) (multiplicity 2)
O (0.8005, 0.4776, 0.0844) (multiplicity 2)
O (0.8927, 0.1329, 0.5055) (multiplicity 2)
O (0.8980, 0.2196, 0.7904) (multiplicity 2)
O (0.9769, 0.4509, 0.1356) (multiplicity 2)

Top 10 peaks for 2θ = 5–70°, by angle:
Position (°2θ)	I/Imax	hkl
12.44	100.0	2 0 0
20.41	32.3	0 1 1
22.73	19.2	2 1 -1
25.76	22.4	3 1 0
26.54	11.8	2 0 2
26.96	73.6	1 1 -2
28.90	10.3	4 0 -2
29.05	14.7	1 1 2
30.52	10.8	3 1 -2
41.27	13.0	2 0 -4